ZrCoTe2: computed PXRD pattern (Cu Kα), based on DFT lattice parameters and positions (GGA-PBE).
Peak positions follow from Bragg's law for the DFT cell and can differ from measured ones.

Cell and atoms:
Cell: 3.699 3.745 7.791 Å, 90.00 103.55 90.00°
Element x y z (fractional)
Zr: 0.000 0.000 0.000
Co: 0.565 0.500 0.109
Te: 0.391 0.500 0.780
Te: 0.658 0.000 0.322

Main lines, sorted by position (2θ = 10–90°):
2θ 11.68, I = 79, (0 0 1); 2θ 24.78, I = 37, (1 0 0); 2θ 26.55, I = 65, (0 1 1); 2θ 29.94, I = 76, (1 0 1); 2θ 34.59, I = 100, (1 1 -1); 2θ 38.52, I = 34, (1 1 1); 2θ 38.61, I = 26, (1 1 -2); 2θ 43.22, I = 59, (0 1 3); 2θ 48.64, I = 36, (0 2 0); 2θ 49.27, I = 25, (2 0 -1)

Rb3HfTa: computed PXRD pattern (Cu Kα), based on DFT lattice parameters and positions (GGA-PBE).
Peak positions follow from Bragg's law for the DFT cell and can differ from measured ones.

Cell and atoms:
Cell: 6.826 6.826 6.826 Å, 90.00 90.00 90.00°
Element x y z (fractional)
Rb: 0.000 0.000 0.500
Rb: 0.000 0.500 0.000
Rb: 0.500 0.000 0.000
Hf: 0.000 0.000 0.000
Ta: 0.500 0.500 0.500

Main lines, sorted by position (2θ = 10–90°):
2θ 18.38, I = 86, (1 1 0); 2θ 22.56, I = 35, (1 1 1); 2θ 26.11, I = 100, (2 0 0); 2θ 32.12, I = 44, (2 1 1); 2θ 37.26, I = 78, (2 2 0); 2θ 41.85, I = 22, (3 1 0); 2θ 46.06, I = 29, (2 2 2); 2θ 49.99, I = 26, (3 2 1); 2θ 60.67, I = 38, (4 2 0); 2θ 67.18, I = 28, (4 2 2)